Simulated powder diffractogram
Compound: Gd4TeSe4O4
Radiation: Cu Kα (weighted mean of Kα1 and Kα2)
Structure: a structure optimized by DFT (GGA-PBE)
Intensities are scaled so that the largest is 100.

Crystal structure
```
data_Gd4TeSe4O4
_chemical_formula_sum 'Gd8 Te2 Se8 O8'
_space_group_name_H-M_alt 'C 1 2/m 1'
_space_group_IT_number 12
_cell_length_a 15.778
_cell_length_b 3.797
_cell_length_c 9.958
_cell_angle_alpha 90.00
_cell_angle_beta 116.93
_cell_angle_gamma 90.00
loop_
_space_group_symop_operation_xyz
'x,y,z'
'-x,-y,-z'
'-x,y,-z'
'x,-y,z'
'x+1/2,y+1/2,z'
'-x+1/2,-y+1/2,-z'
'-x+1/2,y+1/2,-z'
'x+1/2,-y+1/2,z'
loop_
_atom_site_label
_atom_site_type_symbol
_atom_site_fract_x
_atom_site_fract_y
_atom_site_fract_z
Gd1 Gd 0.028 0.000 0.341
Gd2 Gd 0.224 0.500 0.333
Te1 Te 0.000 0.500 0.000
Se1 Se 0.116 0.500 0.631
Se2 Se 0.136 0.000 0.017
O1 O 0.056 0.500 0.241
O2 O 0.185 0.000 0.414
```

Largest 8 diffraction maxima, most intense first, 2θ from 10° to 80°:
- d 2.862, 2θ 31.25, I 100, (3 1 -2)
- d 2.588, 2θ 34.66, I 78, (3 1 1)
- d 2.959, 2θ 30.21, I 69, (0 0 3)
- d 2.573, 2θ 34.87, I 26, (6 0 -1)
- d 7.373, 2θ 12.00, I 25, (2 0 -1)
- d 1.899, 2θ 47.91, I 23, (0 2 0)
- d 1.759, 2θ 51.99, I 22, (3 1 -5)
- d 1.598, 2θ 57.69, I 20, (0 2 3)



Simulated powder diffractogram
Compound: GdYSeO2
Radiation: Cu Kα (weighted mean of Kα1 and Kα2)
Structure: a structure optimized by DFT (GGA-PBE)
Intensities are scaled so that the largest is 100.

Crystal structure
```
data_GdYSeO2
_chemical_formula_sum 'Gd1 Y1 Se1 O2'
_space_group_name_H-M_alt 'P 3 m 1'
_space_group_IT_number 156
_cell_length_a 3.8507
_cell_length_b 3.8507
_cell_length_c 6.8026
_cell_angle_alpha 90.00
_cell_angle_beta 90.00
_cell_angle_gamma 120.00
loop_
_space_group_symop_operation_xyz
'x,y,z'
'-y,x-y,z'
'-x+y,-x,z'
'-y,-x,z'
'-x+y,y,z'
'x,x-y,z'
loop_
_atom_site_label
_atom_site_type_symbol
_atom_site_fract_x
_atom_site_fract_y
_atom_site_fract_z
Gd1 Gd 0.0000 0.0000 0.0000
Y1 Y 0.3333 0.6667 0.5790
Se1 Se 0.6667 0.3333 0.2920
O1 O 0.0000 0.0000 0.6620
O2 O 0.3333 0.6667 0.9153
```

Largest 8 diffraction maxima, most intense first, 2θ from 10° to 80°:
- d 2.994, 2θ 29.84, I 100, (1 0 1)
- d 2.381, 2θ 37.78, I 45, (0 1 2)
- d 1.925, 2θ 47.21, I 35, (1 1 0)
- d 1.875, 2θ 48.55, I 17, (1 0 3)
- d 1.468, 2θ 63.37, I 17, (1 1 3)
- d 1.619, 2θ 56.85, I 16, (0 2 1)
- d 1.239, 2θ 76.93, I 13, (2 1 1)
- d 2.268, 2θ 39.75, I 11, (0 0 3)